Diffraction record for Li4Sc3US8. The X-ray diffraction stick pattern is theoretical, not measured: it uses a DFT-relaxed cell (GGA-PBE, Alexandria) and Cu Kα.
Neutral-atom scattering factors, no anomalous dispersion.

Structure:
```
Li4Sc3US8
1.0
3.747 2.163 6.132
-3.747 2.163 6.132
0.000 -4.326 6.132
Li Sc U S
4 3 1 8
Cartesian
0.000 0.000 0.000
-1.873 -1.082 6.132
-1.873 1.082 12.264
0.000 2.163 6.132
-3.747 0.000 9.198
-1.873 1.082 3.066
1.873 1.082 3.066
0.000 0.000 9.198
-1.928 -1.113 10.712
0.000 0.000 4.533
0.000 -2.226 7.685
-1.928 1.113 7.685
1.928 -1.113 10.712
0.000 2.226 10.712
0.000 0.000 13.863
1.928 1.113 7.685
```

Largest 10 diffraction maxima, by intensity, 10 to 80 degrees two-theta:
2theta	I_rel
14.46	100
33.81	79
27.91	67
48.56	53
36.94	33
16.72	32
23.73	29
44.37	26
50.96	26
37.94	19

---

Diffraction record for Nb2VFeOs. The X-ray diffraction stick pattern is theoretical, not measured: it uses a DFT-relaxed cell (GGA-PBE, Alexandria) and Cu Kα.
Neutral-atom scattering factors, no anomalous dispersion.

Structure:
```
Nb2VFeOs
1.0
4.525 0.000 0.000
0.000 4.525 0.000
0.000 0.000 4.400
Nb V Fe Os
2 1 1 1
Cartesian
0.000 2.262 0.000
2.262 0.000 0.000
0.000 0.000 2.200
2.262 2.262 0.000
2.262 2.262 2.200
```

Largest 10 diffraction maxima, by intensity, 10 to 80 degrees two-theta:
2theta	I_rel
34.66	100
39.85	59
19.62	57
58.52	37
41.02	27
69.02	27
57.62	20
73.14	19
44.79	14
45.86	13

---

Diffraction record for NaS2Br2O6. The X-ray diffraction stick pattern is theoretical, not measured: it uses a DFT-relaxed cell (GGA-PBE, Alexandria) and Cu Kα.
Neutral-atom scattering factors, no anomalous dispersion.

Structure:
```
NaS2Br2O6
1.0
5.728 0.000 0.000
-2.864 4.960 0.000
0.000 0.000 8.187
Na S Br O
1 2 2 6
Cartesian
0.000 0.000 0.000
0.000 3.307 6.600
2.864 1.653 1.587
0.000 3.307 4.153
2.864 1.653 4.035
-1.395 3.602 6.846
0.442 1.951 6.846
1.911 0.593 1.342
0.953 4.367 6.846
2.422 3.009 1.342
4.259 1.359 1.342
```

Largest 10 diffraction maxima, by intensity, 10 to 80 degrees two-theta:
2theta	I_rel
20.94	100
31.23	52
17.88	42
33.14	35
38.36	30
32.82	27
37.62	24
45.93	19
55.16	18
49.90	16

---

Diffraction record for SmDy2TmTh. The X-ray diffraction stick pattern is theoretical, not measured: it uses a DFT-relaxed cell (GGA-PBE, Alexandria) and Cu Kα.
Neutral-atom scattering factors, no anomalous dispersion.

Structure:
```
SmDy2TmTh
1.0
8.311 0.000 0.000
0.000 6.219 0.000
-1.002 0.000 6.667
Sm Dy Tm Th
2 4 2 2
Cartesian
0.000 0.000 0.000
-0.501 0.000 3.333
2.617 2.363 0.738
2.116 3.856 4.071
5.192 2.363 2.596
4.692 3.856 5.929
3.404 0.762 5.000
3.905 5.457 1.667
-0.751 2.862 5.000
-0.250 3.358 1.667
```

Largest 10 diffraction maxima, by intensity, 10 to 80 degrees two-theta:
2theta	I_rel
33.71	100
32.95	73
30.76	66
21.63	40
35.15	38
31.96	33
35.82	30
32.69	30
14.24	24
42.05	24

---

Diffraction record for Ca2TlAg3. The X-ray diffraction stick pattern is theoretical, not measured: it uses a DFT-relaxed cell (GGA-PBE, Alexandria) and Cu Kα.
Neutral-atom scattering factors, no anomalous dispersion.

Structure:
```
Ca2TlAg3
1.0
0.000 4.899 8.507
3.562 0.000 8.507
3.562 4.899 0.000
Ca Tl Ag
4 2 6
Cartesian
5.375 4.899 8.507
1.781 2.449 4.254
5.343 7.348 12.761
1.749 4.899 8.507
3.562 4.899 5.668
3.562 4.899 11.347
3.562 4.899 2.795
3.562 2.421 7.109
3.562 2.421 9.905
3.562 7.377 7.109
3.562 7.377 9.905
3.562 4.899 14.220
```

Largest 10 diffraction maxima, by intensity, 10 to 80 degrees two-theta:
2theta	I_rel
36.64	100
32.81	88
44.87	60
25.00	48
64.68	36
20.91	35
49.99	26
63.52	16
51.30	12
66.02	11

---

Diffraction record for Tb3Tm3CuRu2. The X-ray diffraction stick pattern is theoretical, not measured: it uses a DFT-relaxed cell (GGA-PBE, Alexandria) and Cu Kα.
Neutral-atom scattering factors, no anomalous dispersion.

Structure:
```
Tb3Tm3CuRu2
1.0
7.208 0.000 0.000
-3.604 6.242 0.000
0.000 0.000 4.788
Tb Tm Cu Ru
3 3 1 2
Cartesian
-2.636 4.566 0.000
0.968 1.676 0.000
5.272 0.000 0.000
-1.495 2.589 2.394
2.989 0.000 2.394
2.109 3.653 2.394
0.000 0.000 2.394
0.000 4.162 0.000
3.604 2.081 0.000
```

Largest 10 diffraction maxima, by intensity, 10 to 80 degrees two-theta:
2theta	I_rel
31.06	100
34.30	69
38.14	36
37.57	33
54.61	25
43.49	22
68.37	21
58.80	18
56.52	13
63.78	13

---

Diffraction record for Pr4Ni3Sb8. The X-ray diffraction stick pattern is theoretical, not measured: it uses a DFT-relaxed cell (GGA-PBE, Alexandria) and Cu Kα.
Neutral-atom scattering factors, no anomalous dispersion.

Structure:
```
Pr4Ni3Sb8
1.0
4.417 0.000 0.000
0.000 4.417 0.000
0.000 0.000 19.619
Pr Ni Sb
4 3 8
Cartesian
0.000 2.208 2.301
0.000 2.208 12.203
2.208 0.000 7.416
2.208 0.000 17.318
0.000 0.000 0.000
0.000 0.000 9.810
2.208 2.208 9.810
0.000 0.000 4.870
0.000 0.000 14.750
0.000 2.208 8.516
0.000 2.208 18.423
2.208 0.000 1.197
2.208 0.000 11.103
2.208 2.208 4.871
2.208 2.208 14.749
```

Largest 10 diffraction maxima, by intensity, 10 to 80 degrees two-theta:
2theta	I_rel
34.06	100
40.86	38
30.03	26
70.06	20
54.26	17
27.17	13
49.80	13
59.17	13
27.27	11
50.93	11

---

Diffraction record for TbPmNdTl. The X-ray diffraction stick pattern is theoretical, not measured: it uses a DFT-relaxed cell (GGA-PBE, Alexandria) and Cu Kα.
Neutral-atom scattering factors, no anomalous dispersion.

Structure:
```
TbPmNdTl
1.0
4.904 0.000 0.000
0.000 4.921 0.000
0.000 0.000 5.007
Tb Pm Nd Tl
1 1 1 1
Cartesian
0.000 0.000 0.000
0.000 2.461 2.503
2.452 0.000 2.503
2.452 2.461 0.000
```

Largest 10 diffraction maxima, by intensity, 10 to 80 degrees two-theta:
2theta	I_rel
31.34	100
52.17	24
35.87	17
36.52	17
36.65	16
61.65	15
62.52	14
62.70	14
65.40	12
52.70	12

---

Diffraction record for Cu3SbPd3. The X-ray diffraction stick pattern is theoretical, not measured: it uses a DFT-relaxed cell (GGA-PBE, Alexandria) and Cu Kα.
Neutral-atom scattering factors, no anomalous dispersion.

Structure:
```
Cu3SbPd3
1.0
4.307 -4.420 0.000
4.307 4.420 0.000
0.000 0.000 5.770
Cu Sb Pd
6 2 6
Cartesian
1.867 0.000 0.000
4.307 2.410 0.000
4.307 2.368 2.885
4.307 -2.368 2.885
4.307 -2.410 0.000
6.747 0.000 0.000
1.927 0.000 2.885
6.688 0.000 2.885
2.154 2.210 1.400
2.154 2.210 4.369
2.154 -2.210 1.400
2.154 -2.210 4.369
4.307 0.000 1.427
4.307 0.000 4.343
```

Largest 10 diffraction maxima, by intensity, 10 to 80 degrees two-theta:
2theta	I_rel
42.92	100
40.83	29
41.95	24
75.78	16
59.97	15
77.30	12
34.31	12
32.79	9
20.62	9
79.32	8

---

Diffraction record for Ba2Sb4Rh5. The X-ray diffraction stick pattern is theoretical, not measured: it uses a DFT-relaxed cell (GGA-PBE, Alexandria) and Cu Kα.
Neutral-atom scattering factors, no anomalous dispersion.

Structure:
```
Ba2Sb4Rh5
1.0
0.000 5.527 7.810
3.016 0.000 7.810
3.016 5.527 0.000
Ba Sb Rh
2 4 5
Cartesian
3.016 5.527 2.069
3.016 5.527 13.550
3.016 3.715 5.843
3.016 3.715 9.777
3.016 7.339 5.843
3.016 7.339 9.777
1.508 2.764 0.000
1.508 2.764 3.905
1.508 2.764 7.810
3.016 5.527 7.810
4.524 8.291 11.715
```

Largest 10 diffraction maxima, by intensity, 10 to 80 degrees two-theta:
2theta	I_rel
33.29	100
37.68	89
28.96	55
58.73	48
40.71	42
46.51	34
33.86	34
41.19	31
78.03	29
55.12	29

---

Diffraction record for Re5Tc3. The X-ray diffraction stick pattern is theoretical, not measured: it uses a DFT-relaxed cell (GGA-PBE, Alexandria) and Cu Kα.
Neutral-atom scattering factors, no anomalous dispersion.

Structure:
```
Re5Tc3
1.0
7.615 0.000 0.000
-3.807 6.595 0.000
0.000 0.000 4.925
Re Tc
10 6
Cartesian
-0.776 1.344 1.231
-3.031 5.251 3.694
1.552 0.000 1.231
0.776 1.344 3.694
0.000 4.396 0.000
0.000 4.396 2.462
3.807 2.198 0.000
3.807 2.198 2.462
6.063 0.000 3.694
3.031 5.251 1.231
-1.596 2.764 3.694
-2.212 3.831 1.231
3.191 0.000 3.694
1.596 2.764 1.231
4.424 0.000 1.231
2.212 3.831 3.694
```

Largest 10 diffraction maxima, by intensity, 10 to 80 degrees two-theta:
2theta	I_rel
40.56	100
36.03	53
43.78	41
68.45	32
39.05	31
51.46	18
64.78	18
61.58	16
23.36	14
41.06	11

---

Diffraction record for Sm3Er5Tm2. The X-ray diffraction stick pattern is theoretical, not measured: it uses a DFT-relaxed cell (GGA-PBE, Alexandria) and Cu Kα.
Neutral-atom scattering factors, no anomalous dispersion.

Structure:
```
Sm3Er5Tm2
1.0
5.304 -7.893 0.000
5.304 7.893 0.000
-5.273 0.000 7.728
Sm Er Tm
6 10 4
Cartesian
1.289 1.950 0.345
1.349 4.194 5.796
-1.348 -1.950 4.208
6.682 1.950 3.519
3.985 -4.194 1.932
4.046 -1.950 7.383
1.349 7.458 5.796
-1.288 1.750 5.946
3.985 3.604 1.932
1.348 -1.750 2.082
3.985 0.475 1.932
1.349 -0.475 5.796
3.986 1.750 5.645
1.349 -3.604 5.796
6.622 -1.750 1.782
3.985 -7.458 1.932
1.302 1.843 3.492
-1.334 -1.843 7.356
6.669 1.843 0.372
4.032 -1.843 4.235
```

Largest 10 diffraction maxima, by intensity, 10 to 80 degrees two-theta:
2theta	I_rel
30.51	100
30.84	51
30.74	51
33.80	48
32.43	23
49.52	19
38.18	18
66.35	18
58.44	16
36.70	14